Diffraction record for Li2BiI5. The powder X-ray diffraction pattern is simulated, not measured: it uses a DFT-relaxed cell (PBE, Alexandria) and a wavelength of 1.5418 Å.

Crystal structure
Cell: 6.2445 7.6311 7.6945 Å, 77.91 66.06 65.87°
Atoms (fractional coordinates):
Li 0.0000 0.0000 0.0000
Li 0.3854 0.3933 0.8709
Bi 0.1910 0.1964 0.4348
I 0.1087 0.5864 0.2105
I 0.2722 0.8065 0.6599
I 0.4805 0.0079 0.0450
I 0.6919 0.1951 0.4338
I 0.9007 0.3852 0.8243

Peak list (10 most intense, 10 to 90 degrees two-theta, in order of rising 2θ)
2θ/deg  I_rel  index
12.7  45  0 1 0
16.7  52  1 1 1
24.5  62  1 2 1
24.9  60  1 0 2
27.9  90  0 1 2
28.6  89  2 1 1
29.2  84  0 2 -1
40.3  100  2 2 3
41.4  97  2 3 0
51.0  37  2 0 4